No. 1
Structure and computed X-ray diffraction stick pattern of BaSrSnP2 (a cell relaxed with PBE; Cu Kα (weighted mean of Kα1 and Kα2)).

```
data_BaSrSnP2
_chemical_formula_sum 'Ba2 Sr2 Sn2 P4'
_cell_length_a 7.2242
_cell_length_b 5.3923
_cell_length_c 8.5279
_cell_angle_alpha 90.00
_cell_angle_beta 102.08
_cell_angle_gamma 90.00
_space_group_name_H-M_alt 'P 1 2/c 1'
_space_group_IT_number 13
_space_group_name_Hall '-P 2yc'
loop_
_atom_site_label
_atom_site_fract_x
_atom_site_fract_y
_atom_site_fract_z
Ba1 0.0000 0.1670 0.2500
Sr1 0.5000 0.4856 0.7500
Sn1 0.5000 0.0000 0.0000
P1 0.2238 0.3025 0.9560
```

Top 10 peaks for 2θ = 15–90°, sorted by position:
- (1 0 -2), 22.38°, d = 3.973 Å, rel. 430
- (1 1 1), 24.53°, d = 3.629 Å, rel. 612
- (2 0 0), 25.21°, d = 3.532 Å, rel. 709
- (0 1 2), 27.03°, d = 3.299 Å, rel. 354
- (1 1 -2), 27.89°, d = 3.199 Å, rel. 1000
- (1 1 2), 31.78°, d = 2.815 Å, rel. 831
- (2 1 -2), 33.95°, d = 2.640 Å, rel. 387
- (1 2 0), 35.64°, d = 2.519 Å, rel. 588
- (0 0 4), 43.38°, d = 2.086 Å, rel. 611
- (0 3 2), 55.69°, d = 1.650 Å, rel. 437

No. 2
Structure and computed X-ray diffraction stick pattern of Ca2YCo (a cell relaxed with PBE; Cu Kα (weighted mean of Kα1 and Kα2)).

```
data_Ca2YCo
_chemical_formula_sum 'Ca4 Y2 Co2'
_cell_length_a 3.6604
_cell_length_b 3.9820
_cell_length_c 16.5697
_cell_angle_alpha 90.00
_cell_angle_beta 90.00
_cell_angle_gamma 90.00
_space_group_name_H-M_alt 'A m m 2'
_space_group_IT_number 38
_space_group_name_Hall 'A 2 -2'
loop_
_atom_site_label
_atom_site_fract_x
_atom_site_fract_y
_atom_site_fract_z
Ca1 0.0000 0.0000 0.0000
Ca2 0.5000 0.0000 0.3213
Y1 0.5000 0.0000 0.6469
Co1 0.0000 0.0000 0.1780
```

Top 10 peaks for 2θ = 15–90°, sorted by position:
- (0 0 4), 21.45°, d = 4.142 Å, rel. 220
- (0 1 3), 27.62°, d = 3.230 Å, rel. 443
- (0 0 6), 32.42°, d = 2.762 Å, rel. 435
- (1 0 4), 32.65°, d = 2.743 Å, rel. 307
- (1 1 1), 33.70°, d = 2.660 Å, rel. 1000
- (1 1 3), 37.12°, d = 2.422 Å, rel. 579
- (1 1 5), 43.27°, d = 2.091 Å, rel. 405
- (0 2 0), 45.56°, d = 1.991 Å, rel. 203
- (1 1 7), 51.38°, d = 1.778 Å, rel. 190
- (0 2 6), 57.02°, d = 1.615 Å, rel. 157

No. 3
Structure and computed X-ray diffraction stick pattern of Rb4Ac3PdO8 (a cell relaxed with PBE; Cu Kα (weighted mean of Kα1 and Kα2)).

```
data_Rb4Ac3PdO8
_chemical_formula_sum 'Rb8 Ac6 Pd2 O16'
_cell_length_a 13.7614
_cell_length_b 7.2513
_cell_length_c 7.6535
_cell_angle_alpha 90.00
_cell_angle_beta 118.03
_cell_angle_gamma 90.00
_space_group_name_H-M_alt 'C 1 2/m 1'
_space_group_IT_number 12
_space_group_name_Hall '-C 2y'
loop_
_atom_site_label
_atom_site_fract_x
_atom_site_fract_y
_atom_site_fract_z
Rb1 0.0000 0.0000 0.0000
Rb2 0.0000 0.5000 0.0000
Rb3 0.2500 0.2500 0.0000
Ac1 0.0000 0.0000 0.5000
Ac2 0.2500 0.2500 0.5000
Pd1 0.0000 0.5000 0.5000
O1 0.0320 0.2901 0.3473
O2 0.2091 0.0000 0.6848
O3 0.2100 0.0000 0.2618
```

Top 10 peaks for 2θ = 15–90°, sorted by position:
- (0 0 2), 26.39°, d = 3.378 Å, rel. 660
- (2 2 0), 28.68°, d = 3.113 Å, rel. 1000
- (4 0 -2), 28.85°, d = 3.094 Å, rel. 497
- (4 0 0), 29.41°, d = 3.037 Å, rel. 679
- (2 2 -2), 34.14°, d = 2.626 Å, rel. 939
- (2 2 2), 44.05°, d = 2.056 Å, rel. 423
- (6 2 -2), 47.25°, d = 1.924 Å, rel. 362
- (6 2 0), 51.72°, d = 1.768 Å, rel. 238
- (2 2 -4), 55.28°, d = 1.662 Å, rel. 198
- (2 2 4), 69.40°, d = 1.354 Å, rel. 203

No. 4
Structure and computed X-ray diffraction stick pattern of LaCuPb (a cell relaxed with PBE; Cu Kα (weighted mean of Kα1 and Kα2)).

```
data_LaCuPb
_chemical_formula_sum 'La4 Cu4 Pb4'
_cell_length_a 4.7563
_cell_length_b 8.2324
_cell_length_c 7.8837
_cell_angle_alpha 90.00
_cell_angle_beta 90.00
_cell_angle_gamma 90.00
_space_group_name_H-M_alt 'C m c 21'
_space_group_IT_number 36
_space_group_name_Hall 'C 2c -2'
loop_
_atom_site_label
_atom_site_fract_x
_atom_site_fract_y
_atom_site_fract_z
La1 0.0000 0.9998 0.0000
Cu1 0.0000 0.3325 0.1897
Pb1 0.0000 0.3337 0.7698
```

Top 10 peaks for 2θ = 15–90°, sorted by position:
- (0 2 1), 24.39°, d = 3.650 Å, rel. 440
- (1 1 2), 31.42°, d = 2.847 Å, rel. 1000
- (2 0 0), 37.84°, d = 2.377 Å, rel. 753
- (0 2 3), 40.73°, d = 2.215 Å, rel. 247
- (0 4 2), 49.98°, d = 1.825 Å, rel. 274
- (2 0 4), 61.07°, d = 1.517 Å, rel. 232
- (2 4 2), 64.36°, d = 1.448 Å, rel. 256
- (3 3 0), 68.34°, d = 1.373 Å, rel. 132
- (1 5 5), 88.22°, d = 1.108 Å, rel. 121
- (1 7 2), 89.30°, d = 1.097 Å, rel. 110

No. 5
Structure and computed X-ray diffraction stick pattern of Hg2Pd6Au (a cell relaxed with PBE; Cu Kα (weighted mean of Kα1 and Kα2)).

```
data_Hg2Pd6Au
_chemical_formula_sum 'Hg8 Pd24 Au4'
_cell_length_a 4.7896
_cell_length_b 8.8679
_cell_length_c 14.3547
_cell_angle_alpha 90.00
_cell_angle_beta 90.00
_cell_angle_gamma 90.00
_space_group_name_H-M_alt 'F m m m'
_space_group_IT_number 69
_space_group_name_Hall '-F 2 2'
loop_
_atom_site_label
_atom_site_fract_x
_atom_site_fract_y
_atom_site_fract_z
Hg1 0.0000 0.0000 0.1645
Pd1 0.0000 0.1665 0.3332
Pd2 0.0000 0.1699 0.0000
Au1 0.0000 0.0000 0.5000
```

Top 10 peaks for 2θ = 15–90°, sorted by position:
- (0 2 0), 20.03°, d = 4.434 Å, rel. 62
- (1 1 3), 28.22°, d = 3.163 Å, rel. 124
- (2 0 0), 37.58°, d = 2.394 Å, rel. 617
- (1 3 3), 40.52°, d = 2.227 Å, rel. 1000
- (2 0 6), 54.19°, d = 1.693 Å, rel. 213
- (0 6 0), 62.88°, d = 1.478 Å, rel. 68
- (3 3 3), 69.80°, d = 1.347 Å, rel. 398
- (2 6 0), 75.62°, d = 1.258 Å, rel. 159
- (4 0 0), 80.20°, d = 1.197 Å, rel. 68
- (2 6 6), 87.65°, d = 1.113 Å, rel. 113

No. 6
Structure and computed X-ray diffraction stick pattern of Tl4HgCl6 (a cell relaxed with PBE; Cu Kα (weighted mean of Kα1 and Kα2)).

```
data_Tl4HgCl6
_chemical_formula_sum 'Tl8 Hg2 Cl12'
_cell_length_a 8.7735
_cell_length_b 8.7735
_cell_length_c 8.7759
_cell_angle_alpha 90.00
_cell_angle_beta 90.00
_cell_angle_gamma 90.00
_space_group_name_H-M_alt 'P 4/m n c'
_space_group_IT_number 128
_space_group_name_Hall '-P 4 2n'
loop_
_atom_site_label
_atom_site_fract_x
_atom_site_fract_y
_atom_site_fract_z
Tl1 0.1556 0.3444 0.2500
Hg1 0.0000 0.0000 0.0000
Cl1 0.0000 0.0000 0.2813
Cl2 0.1346 0.6922 0.0000
```

Top 10 peaks for 2θ = 15–90°, sorted by position:
- (2 1 0), 22.66°, d = 3.924 Å, rel. 514
- (1 1 2), 24.85°, d = 3.582 Å, rel. 265
- (2 2 0), 28.78°, d = 3.102 Å, rel. 242
- (2 1 2), 30.56°, d = 2.925 Å, rel. 1000
- (3 1 0), 32.26°, d = 2.774 Å, rel. 595
- (4 0 2), 46.28°, d = 1.962 Å, rel. 229
- (4 1 2), 47.48°, d = 1.915 Å, rel. 321
- (3 3 2), 48.68°, d = 1.871 Å, rel. 218
- (3 1 4), 53.23°, d = 1.721 Å, rel. 279
- (5 2 2), 60.63°, d = 1.527 Å, rel. 220

No. 7
Structure and computed X-ray diffraction stick pattern of Li2CaNd (a cell relaxed with PBE; Cu Kα (weighted mean of Kα1 and Kα2)).

```
data_Li2CaNd
_chemical_formula_sum 'Li6 Ca3 Nd3'
_cell_length_a 3.5801
_cell_length_b 3.5801
_cell_length_c 33.5047
_cell_angle_alpha 90.00
_cell_angle_beta 90.00
_cell_angle_gamma 120.00
_space_group_name_H-M_alt 'R 3 m'
_space_group_IT_number 160
_space_group_name_Hall 'R 3 -2"'
loop_
_atom_site_label
_atom_site_fract_x
_atom_site_fract_y
_atom_site_fract_z
Li1 0.0000 0.0000 0.0000
Li2 0.0000 0.0000 0.1645
Ca1 0.0000 0.0000 0.5820
Nd1 0.0000 0.0000 0.7489
```

Top 10 peaks for 2θ = 15–90°, sorted by position:
- (0 0 6), 15.87°, d = 5.584 Å, rel. 1000
- (1 0 1), 28.92°, d = 3.087 Å, rel. 606
- (0 1 2), 29.29°, d = 3.049 Å, rel. 352
- (1 0 4), 30.75°, d = 2.908 Å, rel. 324
- (0 1 5), 31.80°, d = 2.814 Å, rel. 545
- (0 0 12), 32.06°, d = 2.792 Å, rel. 223
- (1 0 7), 34.47°, d = 2.602 Å, rel. 437
- (0 1 8), 36.04°, d = 2.492 Å, rel. 211
- (0 1 11), 41.56°, d = 2.173 Å, rel. 227
- (1 1 6), 53.78°, d = 1.705 Å, rel. 241

No. 8
Structure and computed X-ray diffraction stick pattern of LuHfTa4 (a cell relaxed with PBE; Cu Kα (weighted mean of Kα1 and Kα2)).

```
data_LuHfTa4
_chemical_formula_sum 'Lu4 Hf4 Ta16'
_cell_length_a 7.9331
_cell_length_b 7.9331
_cell_length_c 7.9331
_cell_angle_alpha 90.00
_cell_angle_beta 90.00
_cell_angle_gamma 90.00
_space_group_name_H-M_alt 'F -4 3 m'
_space_group_IT_number 216
_space_group_name_Hall 'F -4 2 3'
loop_
_atom_site_label
_atom_site_fract_x
_atom_site_fract_y
_atom_site_fract_z
Lu1 0.0000 0.0000 0.0000
Hf1 0.2500 0.2500 0.7500
Ta1 0.1249 0.1249 0.3751
```

Top 10 peaks for 2θ = 15–90°, sorted by position:
- (1 1 1), 19.38°, d = 4.580 Å, rel. 58
- (2 2 0), 31.91°, d = 2.805 Å, rel. 259
- (3 1 1), 37.60°, d = 2.392 Å, rel. 1000
- (2 2 2), 39.34°, d = 2.290 Å, rel. 412
- (4 0 0), 45.75°, d = 1.983 Å, rel. 53
- (4 2 2), 56.86°, d = 1.619 Å, rel. 102
- (5 1 1), 60.66°, d = 1.527 Å, rel. 336
- (4 4 0), 66.70°, d = 1.402 Å, rel. 294
- (5 3 3), 79.17°, d = 1.210 Å, rel. 118
- (6 2 2), 80.27°, d = 1.196 Å, rel. 159

No. 9
Structure and computed X-ray diffraction stick pattern of Ca5PrAu6 (a cell relaxed with PBE; Cu Kα (weighted mean of Kα1 and Kα2)).

```
data_Ca5PrAu6
_chemical_formula_sum 'Ca5 Pr1 Au6'
_cell_length_a 5.1711
_cell_length_b 7.3467
_cell_length_c 8.1448
_cell_angle_alpha 90.00
_cell_angle_beta 108.23
_cell_angle_gamma 90.00
_space_group_name_H-M_alt 'P 1 2/m 1'
_space_group_IT_number 10
_space_group_name_Hall '-P 2y'
loop_
_atom_site_label
_atom_site_fract_x
_atom_site_fract_y
_atom_site_fract_z
Ca1 0.0000 0.0000 0.0000
Ca2 0.3300 0.5000 0.6606
Ca3 0.3335 0.0000 0.6675
Pr1 0.0000 0.5000 0.0000
Au1 0.1653 0.2487 0.3299
Au2 0.5000 0.2548 0.0000
```

Top 10 peaks for 2θ = 15–90°, sorted by position:
- (1 0 1), 24.27°, d = 3.667 Å, rel. 348
- (1 0 -2), 24.44°, d = 3.643 Å, rel. 171
- (1 2 1), 34.64°, d = 2.590 Å, rel. 1000
- (2 0 -1), 34.74°, d = 2.582 Å, rel. 496
- (2 2 -1), 42.81°, d = 2.112 Å, rel. 168
- (0 4 0), 49.64°, d = 1.837 Å, rel. 90
- (2 0 2), 49.82°, d = 1.830 Å, rel. 89
- (3 2 0), 62.03°, d = 1.496 Å, rel. 276
- (3 2 -3), 62.21°, d = 1.492 Å, rel. 182
- (1 2 -5), 62.36°, d = 1.489 Å, rel. 90

No. 10
Structure and computed X-ray diffraction stick pattern of Tm2CuPb2 (a cell relaxed with PBE; Cu Kα (weighted mean of Kα1 and Kα2)).

```
data_Tm2CuPb2
_chemical_formula_sum 'Tm8 Cu4 Pb8'
_cell_length_a 9.2143
_cell_length_b 7.5338
_cell_length_c 7.3959
_cell_angle_alpha 90.00
_cell_angle_beta 90.41
_cell_angle_gamma 90.00
_space_group_name_H-M_alt 'P 1 21/c 1'
_space_group_IT_number 14
_space_group_name_Hall '-P 2ybc'
loop_
_atom_site_label
_atom_site_fract_x
_atom_site_fract_y
_atom_site_fract_z
Tm1 0.1142 0.2171 0.0109
Tm2 0.3671 0.6996 0.4965
Cu1 0.1349 0.5661 0.8085
Pb1 0.1383 0.5815 0.2110
Pb2 0.3888 0.1152 0.2912
```

Top 10 peaks for 2θ = 15–90°, sorted by position:
- (2 1 -1), 25.60°, d = 3.480 Å, rel. 328
- (2 1 1), 25.73°, d = 3.462 Å, rel. 323
- (0 2 1), 26.56°, d = 3.357 Å, rel. 479
- (2 2 -1), 32.97°, d = 2.717 Å, rel. 186
- (2 1 -2), 33.14°, d = 2.703 Å, rel. 1000
- (2 1 2), 33.37°, d = 2.685 Å, rel. 748
- (0 2 2), 33.97°, d = 2.639 Å, rel. 469
- (0 1 3), 38.42°, d = 2.343 Å, rel. 241
- (4 0 0), 39.11°, d = 2.304 Å, rel. 523
- (2 3 0), 40.93°, d = 2.205 Å, rel. 655

No. 11
Structure and computed X-ray diffraction stick pattern of DyHo2Te4 (a cell relaxed with PBE; Cu Kα (weighted mean of Kα1 and Kα2)).

```
data_DyHo2Te4
_chemical_formula_sum 'Dy2 Ho4 Te8'
_cell_length_a 16.2317
_cell_length_b 4.3292
_cell_length_c 7.5433
_cell_angle_alpha 90.00
_cell_angle_beta 117.37
_cell_angle_gamma 90.00
_space_group_name_H-M_alt 'C 1 2/m 1'
_space_group_IT_number 12
_space_group_name_Hall '-C 2y'
loop_
_atom_site_label
_atom_site_fract_x
_atom_site_fract_y
_atom_site_fract_z
Dy1 0.0000 0.0000 0.0000
Ho1 0.2444 0.5000 0.7300
Te1 0.1208 0.0000 0.4533
Te2 0.1293 0.5000 0.9659
```

Top 10 peaks for 2θ = 15–90°, sorted by position:
- (4 0 -2), 26.75°, d = 3.333 Å, rel. 1000
- (2 0 2), 34.32°, d = 2.613 Å, rel. 220
- (3 1 1), 34.47°, d = 2.602 Å, rel. 687
- (5 1 -1), 34.55°, d = 2.596 Å, rel. 466
- (3 1 -3), 41.53°, d = 2.174 Å, rel. 486
- (0 2 0), 41.73°, d = 2.165 Å, rel. 246
- (7 1 -1), 44.85°, d = 2.021 Å, rel. 166
- (8 0 -4), 55.10°, d = 1.667 Å, rel. 191
- (5 1 3), 67.33°, d = 1.391 Å, rel. 154
- (11 1 -3), 67.68°, d = 1.384 Å, rel. 226

No. 12
Structure and computed X-ray diffraction stick pattern of Er3Pd5Pt (a cell relaxed with PBE; Cu Kα (weighted mean of Kα1 and Kα2)).

```
data_Er3Pd5Pt
_chemical_formula_sum 'Er6 Pd10 Pt2'
_cell_length_a 8.0437
_cell_length_b 5.6577
_cell_length_c 8.0620
_cell_angle_alpha 90.00
_cell_angle_beta 111.29
_cell_angle_gamma 90.00
_space_group_name_H-M_alt 'P 1 21/m 1'
_space_group_IT_number 11
_space_group_name_Hall '-P 2yb'
loop_
_atom_site_label
_atom_site_fract_x
_atom_site_fract_y
_atom_site_fract_z
Er1 0.0248 0.2500 0.3517
Er2 0.3058 0.7500 0.3058
Er3 0.3515 0.2500 0.0254
Pd1 0.0531 0.2500 0.7165
Pd2 0.2837 0.7500 0.9474
Pd3 0.3338 0.0002 0.6669
Pd4 0.3901 0.2500 0.3902
Pt1 0.0000 0.0000 0.0000
```

Top 10 peaks for 2θ = 15–90°, sorted by position:
- (1 1 -2), 27.38°, d = 3.257 Å, rel. 222
- (3 0 0), 35.90°, d = 2.501 Å, rel. 958
- (1 2 1), 37.45°, d = 2.402 Å, rel. 423
- (2 2 -1), 39.05°, d = 2.306 Å, rel. 1000
- (0 1 3), 39.39°, d = 2.288 Å, rel. 331
- (3 0 -3), 40.72°, d = 2.216 Å, rel. 479
- (2 1 2), 42.89°, d = 2.109 Å, rel. 189
- (2 2 -4), 56.51°, d = 1.629 Å, rel. 256
- (5 2 -4), 73.00°, d = 1.296 Å, rel. 156
- (3 4 0), 77.53°, d = 1.231 Å, rel. 204

Please write out number 9 again, unchanged.
Structure and computed X-ray diffraction stick pattern of Ca5PrAu6 (a cell relaxed with PBE; Cu Kα (weighted mean of Kα1 and Kα2)).

```
data_Ca5PrAu6
_chemical_formula_sum 'Ca5 Pr1 Au6'
_cell_length_a 5.1711
_cell_length_b 7.3467
_cell_length_c 8.1448
_cell_angle_alpha 90.00
_cell_angle_beta 108.23
_cell_angle_gamma 90.00
_space_group_name_H-M_alt 'P 1 2/m 1'
_space_group_IT_number 10
_space_group_name_Hall '-P 2y'
loop_
_atom_site_label
_atom_site_fract_x
_atom_site_fract_y
_atom_site_fract_z
Ca1 0.0000 0.0000 0.0000
Ca2 0.3300 0.5000 0.6606
Ca3 0.3335 0.0000 0.6675
Pr1 0.0000 0.5000 0.0000
Au1 0.1653 0.2487 0.3299
Au2 0.5000 0.2548 0.0000
```

Top 10 peaks for 2θ = 15–90°, sorted by position:
- (1 0 1), 24.27°, d = 3.667 Å, rel. 348
- (1 0 -2), 24.44°, d = 3.643 Å, rel. 171
- (1 2 1), 34.64°, d = 2.590 Å, rel. 1000
- (2 0 -1), 34.74°, d = 2.582 Å, rel. 496
- (2 2 -1), 42.81°, d = 2.112 Å, rel. 168
- (0 4 0), 49.64°, d = 1.837 Å, rel. 90
- (2 0 2), 49.82°, d = 1.830 Å, rel. 89
- (3 2 0), 62.03°, d = 1.496 Å, rel. 276
- (3 2 -3), 62.21°, d = 1.492 Å, rel. 182
- (1 2 -5), 62.36°, d = 1.489 Å, rel. 90